Record 1
# Ta4CdF22
Computed powder X-ray diffraction pattern, Cu Ka. Input: a DFT-relaxed cell (PBE, OQMD).
Intensities are scaled so that the largest is 100.

Structural model:
```
data_Ta4CdF22
_cell_length_a 8.5184
_cell_length_b 9.0075
_cell_length_c 9.8146
_cell_angle_alpha 94.47
_cell_angle_beta 111.52
_cell_angle_gamma 100.80
_symmetry_space_group_name_H-M 'P 1'
_symmetry_Int_Tables_number 1
loop_
_symmetry_equiv_pos_as_xyz
'x,y,z'
loop_
_atom_site_label
_atom_site_type_symbol
_atom_site_fract_x
_atom_site_fract_y
_atom_site_fract_z
_atom_site_occupancy
Ta1 Ta 0.0067 0.4866 0.1781 1
Ta2 Ta 0.2266 0.0260 0.2786 1
Ta3 Ta 0.2814 0.0748 0.8252 1
Ta4 Ta 0.4210 0.5762 0.7289 1
Ta5 Ta 0.5790 0.4238 0.2711 1
Ta6 Ta 0.7186 0.9252 0.1748 1
Ta7 Ta 0.7734 0.9740 0.7214 1
Ta8 Ta 0.9933 0.5134 0.8219 1
Cd1 Cd 0.0163 0.7486 0.4996 1
Cd2 Cd 0.9837 0.2514 0.5004 1
F1 F 0.0195 0.3202 0.7388 1
F2 F 0.0293 0.4417 0.3736 1
F3 F 0.0431 0.0390 0.8363 1
F4 F 0.0515 0.7256 0.8754 1
F5 F 0.1116 0.4397 0.0109 1
F6 F 0.1310 0.0905 0.6243 1
F7 F 0.1554 0.1779 0.3785 1
F8 F 0.2057 0.8433 0.1632 1
F9 F 0.2088 0.1511 0.1311 1
F10 F 0.2101 0.8632 0.7214 1
F11 F 0.2135 0.9141 0.4360 1
F12 F 0.2425 0.5760 0.2686 1
F13 F 0.2495 0.5593 0.8365 1
F14 F 0.2591 0.6491 0.5662 1
F15 F 0.2788 0.3770 0.6246 1
F16 F 0.3086 0.2748 0.9103 1
F17 F 0.3457 0.9761 0.9902 1
F18 F 0.4260 0.3906 0.3668 1
F19 F 0.4448 0.5218 0.1271 1
F20 F 0.4644 0.0946 0.3813 1
F21 F 0.4707 0.1295 0.7737 1
F22 F 0.4832 0.7712 0.8423 1
F23 F 0.5168 0.2288 0.1577 1
F24 F 0.5293 0.8705 0.2263 1
F25 F 0.5356 0.9054 0.6187 1
F26 F 0.5552 0.4782 0.8729 1
F27 F 0.5740 0.6094 0.6332 1
F28 F 0.6543 0.0239 0.0098 1
F29 F 0.6914 0.7252 0.0897 1
F30 F 0.7212 0.6230 0.3754 1
F31 F 0.7409 0.3509 0.4338 1
F32 F 0.7505 0.4407 0.1635 1
F33 F 0.7575 0.4240 0.7314 1
F34 F 0.7865 0.0859 0.5640 1
F35 F 0.7899 0.1368 0.2786 1
F36 F 0.7912 0.8489 0.8689 1
F37 F 0.7943 0.1567 0.8368 1
F38 F 0.8446 0.8221 0.6215 1
F39 F 0.8690 0.9095 0.3757 1
F40 F 0.8884 0.5603 0.9891 1
F41 F 0.9485 0.2744 0.1246 1
F42 F 0.9569 0.9610 0.1637 1
F43 F 0.9707 0.5583 0.6264 1
F44 F 0.9805 0.6798 0.2612 1
```

Main lines, by angle (10 to 90 degrees two-theta):
- 2θ = 19.7°, 4.506 Å, I 92
- 2θ = 20.3°, 4.367 Å, I 83
- 2θ = 21.4°, 4.152 Å, I 39
- 2θ = 23.0°, 3.874 Å, I 90
- 2θ = 24.0°, 3.703 Å, I 47
- 2θ = 26.0°, 3.422 Å, I 84
- 2θ = 26.8°, 3.325 Å, I 100
- 2θ = 27.4°, 3.256 Å, I 64
- 2θ = 29.7°, 3.004 Å, I 43
- 2θ = 40.2°, 2.242 Å, I 36

---

Record 2
# ZnCdFeIr
Computed powder X-ray diffraction pattern, Cu Ka. Input: a DFT-relaxed cell (PBE, OQMD).
Intensities are scaled so that the largest is 100.

Structural model:
```
data_ZnCdFeIr
_cell_length_a 6.2359
_cell_length_b 6.2359
_cell_length_c 6.2359
_cell_angle_alpha 90.00
_cell_angle_beta 90.00
_cell_angle_gamma 90.00
_symmetry_space_group_name_H-M 'P 1'
_symmetry_Int_Tables_number 1
loop_
_symmetry_equiv_pos_as_xyz
'x,y,z'
loop_
_atom_site_label
_atom_site_type_symbol
_atom_site_fract_x
_atom_site_fract_y
_atom_site_fract_z
_atom_site_occupancy
Zn1 Zn 0.0000 0.0000 0.0000 1
Zn2 Zn 0.0000 0.5000 0.5000 1
Zn3 Zn 0.5000 0.0000 0.5000 1
Zn4 Zn 0.5000 0.5000 0.0000 1
Cd1 Cd 0.2500 0.2500 0.7500 1
Cd2 Cd 0.2500 0.7500 0.2500 1
Cd3 Cd 0.7500 0.2500 0.2500 1
Cd4 Cd 0.7500 0.7500 0.7500 1
Fe1 Fe 0.2500 0.2500 0.2500 1
Fe2 Fe 0.2500 0.7500 0.7500 1
Fe3 Fe 0.7500 0.2500 0.7500 1
Fe4 Fe 0.7500 0.7500 0.2500 1
Ir1 Ir 0.0000 0.0000 0.5000 1
Ir2 Ir 0.0000 0.5000 0.0000 1
Ir3 Ir 0.5000 0.0000 0.0000 1
Ir4 Ir 0.5000 0.5000 0.5000 1
```

Main lines, by angle (10 to 90 degrees two-theta):
- 2θ = 24.7°, 3.600 Å, I 22
- 2θ = 28.6°, 3.118 Å, I 5
- 2θ = 40.9°, 2.205 Å, I 100
- 2θ = 48.4°, 1.880 Å, I 11
- 2θ = 59.3°, 1.559 Å, I 16
- 2θ = 65.2°, 1.431 Å, I 5
- 2θ = 67.1°, 1.394 Å, I 2
- 2θ = 74.6°, 1.273 Å, I 33
- 2θ = 79.9°, 1.200 Å, I 4
- 2θ = 88.7°, 1.102 Å, I 11

---

Record 3
# LuCdFePb
Computed powder X-ray diffraction pattern, Cu Ka. Input: a DFT-relaxed cell (PBE, OQMD).
Intensities are scaled so that the largest is 100.

Structural model:
```
data_LuCdFePb
_cell_length_a 7.0086
_cell_length_b 7.0086
_cell_length_c 7.0086
_cell_angle_alpha 90.00
_cell_angle_beta 90.00
_cell_angle_gamma 90.00
_symmetry_space_group_name_H-M 'P 1'
_symmetry_Int_Tables_number 1
loop_
_symmetry_equiv_pos_as_xyz
'x,y,z'
loop_
_atom_site_label
_atom_site_type_symbol
_atom_site_fract_x
_atom_site_fract_y
_atom_site_fract_z
_atom_site_occupancy
Lu1 Lu 0.0000 0.0000 0.0000 1
Lu2 Lu 0.0000 0.5000 0.5000 1
Lu3 Lu 0.5000 0.0000 0.5000 1
Lu4 Lu 0.5000 0.5000 0.0000 1
Cd1 Cd 0.2500 0.2500 0.2500 1
Cd2 Cd 0.2500 0.7500 0.7500 1
Cd3 Cd 0.7500 0.2500 0.7500 1
Cd4 Cd 0.7500 0.7500 0.2500 1
Fe1 Fe 0.2500 0.2500 0.7500 1
Fe2 Fe 0.2500 0.7500 0.2500 1
Fe3 Fe 0.7500 0.2500 0.2500 1
Fe4 Fe 0.7500 0.7500 0.7500 1
Pb1 Pb 0.0000 0.0000 0.5000 1
Pb2 Pb 0.0000 0.5000 0.0000 1
Pb3 Pb 0.5000 0.0000 0.0000 1
Pb4 Pb 0.5000 0.5000 0.5000 1
```

Main lines, by angle (10 to 90 degrees two-theta):
- 2θ = 22.0°, 4.046 Å, I 3
- 2θ = 25.4°, 3.504 Å, I 16
- 2θ = 36.3°, 2.478 Å, I 100
- 2θ = 44.8°, 2.023 Å, I 5
- 2θ = 52.2°, 1.752 Å, I 18
- 2θ = 58.9°, 1.567 Å, I 7
- 2θ = 65.2°, 1.431 Å, I 36
- 2θ = 77.0°, 1.239 Å, I 11
- 2θ = 82.6°, 1.168 Å, I 4
- 2θ = 88.2°, 1.108 Å, I 16

---

Record 4
# MgCdFeS3
Computed powder X-ray diffraction pattern, Cu Ka. Input: a DFT-relaxed cell (PBE, OQMD).
Intensities are scaled so that the largest is 100.

Structural model:
```
data_MgCdFeS3
_cell_length_a 6.2523
_cell_length_b 6.2523
_cell_length_c 10.7430
_cell_angle_alpha 90.00
_cell_angle_beta 90.00
_cell_angle_gamma 146.61
_symmetry_space_group_name_H-M 'P 1'
_symmetry_Int_Tables_number 1
loop_
_symmetry_equiv_pos_as_xyz
'x,y,z'
loop_
_atom_site_label
_atom_site_type_symbol
_atom_site_fract_x
_atom_site_fract_y
_atom_site_fract_z
_atom_site_occupancy
Mg1 Mg 0.2350 0.7650 0.7500 1
Mg2 Mg 0.7650 0.2350 0.2500 1
Cd1 Cd 0.0000 0.0000 0.0000 1
Cd2 Cd 0.0000 0.0000 0.5000 1
Fe1 Fe 0.4761 0.5239 0.2500 1
Fe2 Fe 0.5239 0.4761 0.7500 1
S1 S 0.1047 0.8953 0.2500 1
S2 S 0.3550 0.6450 0.0871 1
S3 S 0.3550 0.6450 0.4129 1
S4 S 0.6450 0.3550 0.5871 1
S5 S 0.6450 0.3550 0.9129 1
S6 S 0.8953 0.1047 0.7500 1
```

Main lines, by angle (10 to 90 degrees two-theta):
- 2θ = 14.8°, 5.989 Å, I 100
- 2θ = 30.9°, 2.897 Å, I 57
- 2θ = 33.4°, 2.686 Å, I 28
- 2θ = 34.6°, 2.592 Å, I 24
- 2θ = 36.7°, 2.451 Å, I 30
- 2θ = 37.6°, 2.391 Å, I 98
- 2θ = 45.4°, 1.999 Å, I 29
- 2θ = 48.7°, 1.869 Å, I 42
- 2θ = 50.8°, 1.796 Å, I 18
- 2θ = 58.1°, 1.588 Å, I 19

---

Record 5
# MgCdFeW
Computed powder X-ray diffraction pattern, Cu Ka. Input: a DFT-relaxed cell (PBE, OQMD).
Intensities are scaled so that the largest is 100.

Structural model:
```
data_MgCdFeW
_cell_length_a 6.3514
_cell_length_b 6.3514
_cell_length_c 6.3514
_cell_angle_alpha 90.00
_cell_angle_beta 90.00
_cell_angle_gamma 90.00
_symmetry_space_group_name_H-M 'P 1'
_symmetry_Int_Tables_number 1
loop_
_symmetry_equiv_pos_as_xyz
'x,y,z'
loop_
_atom_site_label
_atom_site_type_symbol
_atom_site_fract_x
_atom_site_fract_y
_atom_site_fract_z
_atom_site_occupancy
Mg1 Mg 0.0000 0.0000 0.0000 1
Mg2 Mg 0.0000 0.5000 0.5000 1
Mg3 Mg 0.5000 0.0000 0.5000 1
Mg4 Mg 0.5000 0.5000 0.0000 1
Cd1 Cd 0.2500 0.2500 0.7500 1
Cd2 Cd 0.2500 0.7500 0.2500 1
Cd3 Cd 0.7500 0.2500 0.2500 1
Cd4 Cd 0.7500 0.7500 0.7500 1
Fe1 Fe 0.2500 0.2500 0.2500 1
Fe2 Fe 0.2500 0.7500 0.7500 1
Fe3 Fe 0.7500 0.2500 0.7500 1
Fe4 Fe 0.7500 0.7500 0.2500 1
W1 W 0.0000 0.0000 0.5000 1
W2 W 0.0000 0.5000 0.0000 1
W3 W 0.5000 0.0000 0.0000 1
W4 W 0.5000 0.5000 0.5000 1
```

Main lines, by angle (10 to 90 degrees two-theta):
- 2θ = 24.3°, 3.667 Å, I 46
- 2θ = 28.1°, 3.176 Å, I 1
- 2θ = 40.2°, 2.246 Å, I 100
- 2θ = 47.5°, 1.915 Å, I 24
- 2θ = 58.1°, 1.588 Å, I 17
- 2θ = 63.9°, 1.457 Å, I 10
- 2θ = 65.8°, 1.420 Å, I 1
- 2θ = 73.0°, 1.296 Å, I 33
- 2θ = 78.2°, 1.222 Å, I 8
- 2θ = 86.7°, 1.123 Å, I 11

---

Record 6
# Nb4CdFeN2
Computed powder X-ray diffraction pattern, Cu Ka. Input: a DFT-relaxed cell (PBE, OQMD).
Intensities are scaled so that the largest is 100.

Structural model:
```
data_Nb4CdFeN2
_cell_length_a 3.1097
_cell_length_b 3.1097
_cell_length_c 13.8450
_cell_angle_alpha 90.00
_cell_angle_beta 90.00
_cell_angle_gamma 120.00
_symmetry_space_group_name_H-M 'P 1'
_symmetry_Int_Tables_number 1
loop_
_symmetry_equiv_pos_as_xyz
'x,y,z'
loop_
_atom_site_label
_atom_site_type_symbol
_atom_site_fract_x
_atom_site_fract_y
_atom_site_fract_z
_atom_site_occupancy
Nb1 Nb 0.0000 0.0000 0.1437 1
Nb2 Nb 0.0000 0.0000 0.8563 1
Nb3 Nb 0.3333 0.6667 0.3207 1
Nb4 Nb 0.3333 0.6667 0.6793 1
Cd1 Cd 0.0000 0.0000 0.5000 1
Fe1 Fe 0.3333 0.6667 0.0000 1
N1 N 0.6667 0.3333 0.2331 1
N2 N 0.6667 0.3333 0.7669 1
```

Main lines, by angle (10 to 90 degrees two-theta):
- 2θ = 33.3°, 2.693 Å, I 23
- 2θ = 35.8°, 2.510 Å, I 8
- 2θ = 38.7°, 2.326 Å, I 100
- 2θ = 39.0°, 2.307 Å, I 15
- 2θ = 52.2°, 1.752 Å, I 12
- 2θ = 59.4°, 1.555 Å, I 21
- 2θ = 63.9°, 1.456 Å, I 9
- 2θ = 70.5°, 1.336 Å, I 8
- 2θ = 73.2°, 1.293 Å, I 14
- 2θ = 73.4°, 1.289 Å, I 14

---

Record 7
# Nd4Cd3Fe2
Computed powder X-ray diffraction pattern, Cu Ka. Input: a DFT-relaxed cell (PBE, OQMD).
Intensities are scaled so that the largest is 100.

Structural model:
```
data_Nd4Cd3Fe2
_cell_length_a 7.5412
_cell_length_b 3.8274
_cell_length_c 8.2223
_cell_angle_alpha 90.00
_cell_angle_beta 109.06
_cell_angle_gamma 90.00
_symmetry_space_group_name_H-M 'P 1'
_symmetry_Int_Tables_number 1
loop_
_symmetry_equiv_pos_as_xyz
'x,y,z'
loop_
_atom_site_label
_atom_site_type_symbol
_atom_site_fract_x
_atom_site_fract_y
_atom_site_fract_z
_atom_site_occupancy
Nd1 Nd 0.0879 0.0000 0.2190 1
Nd2 Nd 0.3896 0.0000 0.6956 1
Nd3 Nd 0.6104 0.0000 0.3044 1
Nd4 Nd 0.9121 0.0000 0.7810 1
Cd1 Cd 0.0000 0.5000 0.5000 1
Cd2 Cd 0.2967 0.5000 0.0053 1
Cd3 Cd 0.7033 0.5000 0.9947 1
Fe1 Fe 0.3599 0.5000 0.4043 1
Fe2 Fe 0.6401 0.5000 0.5957 1
```

Main lines, by angle (10 to 90 degrees two-theta):
- 2θ = 30.5°, 2.932 Å, I 17
- 2θ = 30.8°, 2.901 Å, I 41
- 2θ = 32.8°, 2.727 Å, I 100
- 2θ = 33.5°, 2.673 Å, I 96
- 2θ = 35.6°, 2.524 Å, I 36
- 2θ = 37.9°, 2.374 Å, I 21
- 2θ = 47.5°, 1.914 Å, I 25
- 2θ = 57.0°, 1.617 Å, I 23
- 2θ = 57.7°, 1.598 Å, I 18
- 2θ = 61.7°, 1.503 Å, I 17

---

Record 8
# Nd6CdFe13
Computed powder X-ray diffraction pattern, Cu Ka. Input: a DFT-relaxed cell (PBE, OQMD).
Intensities are scaled so that the largest is 100.

Structural model:
```
data_Nd6CdFe13
_cell_length_a 12.9637
_cell_length_b 12.9637
_cell_length_c 12.9637
_cell_angle_alpha 144.04
_cell_angle_beta 144.04
_cell_angle_gamma 51.76
_symmetry_space_group_name_H-M 'P 1'
_symmetry_Int_Tables_number 1
loop_
_symmetry_equiv_pos_as_xyz
'x,y,z'
loop_
_atom_site_label
_atom_site_type_symbol
_atom_site_fract_x
_atom_site_fract_y
_atom_site_fract_z
_atom_site_occupancy
Nd1 Nd 0.0223 0.5223 0.1756 1
Nd2 Nd 0.1047 0.1047 0.0000 1
Nd3 Nd 0.1532 0.9777 0.5000 1
Nd4 Nd 0.3468 0.8468 0.8244 1
Nd5 Nd 0.3953 0.3953 0.0000 1
Nd6 Nd 0.4777 0.6532 0.5000 1
Nd7 Nd 0.5223 0.3468 0.5000 1
Nd8 Nd 0.6047 0.6047 0.0000 1
Nd9 Nd 0.6532 0.1532 0.1756 1
Nd10 Nd 0.8468 0.0223 0.5000 1
Nd11 Nd 0.8953 0.8953 0.0000 1
Nd12 Nd 0.9777 0.4777 0.8244 1
Cd1 Cd 0.2500 0.2500 0.0000 1
Cd2 Cd 0.7500 0.7500 0.0000 1
Fe1 Fe 0.0000 0.5000 0.5000 1
Fe2 Fe 0.0195 0.2923 0.5000 1
Fe3 Fe 0.0666 0.2102 0.2768 1
Fe4 Fe 0.1202 0.6202 0.8576 1
Fe5 Fe 0.2077 0.4805 0.5000 1
Fe6 Fe 0.2102 0.9334 0.1436 1
Fe7 Fe 0.2374 0.7374 0.8576 1
Fe8 Fe 0.2626 0.1202 0.5000 1
Fe9 Fe 0.2898 0.4334 0.7232 1
Fe10 Fe 0.2923 0.7923 0.2728 1
Fe11 Fe 0.3798 0.2374 0.5000 1
Fe12 Fe 0.4334 0.7102 0.1436 1
Fe13 Fe 0.4805 0.9805 0.2728 1
Fe14 Fe 0.5000 0.0000 0.5000 1
Fe15 Fe 0.5195 0.0195 0.7272 1
Fe16 Fe 0.5666 0.2898 0.8564 1
Fe17 Fe 0.6202 0.7626 0.5000 1
Fe18 Fe 0.7077 0.2077 0.7272 1
Fe19 Fe 0.7102 0.5666 0.2768 1
Fe20 Fe 0.7374 0.8798 0.5000 1
Fe21 Fe 0.7626 0.2626 0.1424 1
Fe22 Fe 0.7898 0.0666 0.8564 1
Fe23 Fe 0.7923 0.5195 0.5000 1
Fe24 Fe 0.8798 0.3798 0.1424 1
Fe25 Fe 0.9334 0.7898 0.7232 1
Fe26 Fe 0.9805 0.7077 0.5000 1
```

Main lines, by angle (10 to 90 degrees two-theta):
- 2θ = 27.4°, 3.251 Å, I 89
- 2θ = 31.5°, 2.840 Å, I 85
- 2θ = 31.6°, 2.829 Å, I 33
- 2θ = 32.1°, 2.788 Å, I 39
- 2θ = 34.6°, 2.592 Å, I 37
- 2θ = 35.5°, 2.531 Å, I 100
- 2θ = 38.2°, 2.357 Å, I 67
- 2θ = 43.1°, 2.099 Å, I 56
- 2θ = 47.0°, 1.934 Å, I 43
- 2θ = 58.3°, 1.584 Å, I 34

---

Record 9
# Sc2CdFe
Computed powder X-ray diffraction pattern, Cu Ka. Input: a DFT-relaxed cell (PBE, OQMD).
Intensities are scaled so that the largest is 100.

Structural model:
```
data_Sc2CdFe
_cell_length_a 6.6489
_cell_length_b 6.6489
_cell_length_c 6.6489
_cell_angle_alpha 90.00
_cell_angle_beta 90.00
_cell_angle_gamma 90.00
_symmetry_space_group_name_H-M 'P 1'
_symmetry_Int_Tables_number 1
loop_
_symmetry_equiv_pos_as_xyz
'x,y,z'
loop_
_atom_site_label
_atom_site_type_symbol
_atom_site_fract_x
_atom_site_fract_y
_atom_site_fract_z
_atom_site_occupancy
Sc1 Sc 0.0000 0.0000 0.0000 1
Sc2 Sc 0.0000 0.5000 0.5000 1
Sc3 Sc 0.2500 0.2500 0.2500 1
Sc4 Sc 0.2500 0.7500 0.7500 1
Sc5 Sc 0.5000 0.0000 0.5000 1
Sc6 Sc 0.5000 0.5000 0.0000 1
Sc7 Sc 0.7500 0.2500 0.7500 1
Sc8 Sc 0.7500 0.7500 0.2500 1
Cd1 Cd 0.2500 0.2500 0.7500 1
Cd2 Cd 0.2500 0.7500 0.2500 1
Cd3 Cd 0.7500 0.2500 0.2500 1
Cd4 Cd 0.7500 0.7500 0.7500 1
Fe1 Fe 0.0000 0.0000 0.5000 1
Fe2 Fe 0.0000 0.5000 0.0000 1
Fe3 Fe 0.5000 0.0000 0.0000 1
Fe4 Fe 0.5000 0.5000 0.5000 1
```

Main lines, by angle (10 to 90 degrees two-theta):
- 2θ = 23.2°, 3.839 Å, I 18
- 2θ = 26.8°, 3.324 Å, I 6
- 2θ = 38.3°, 2.351 Å, I 100
- 2θ = 45.2°, 2.005 Å, I 9
- 2θ = 55.3°, 1.662 Å, I 16
- 2θ = 60.7°, 1.525 Å, I 4
- 2θ = 69.2°, 1.357 Å, I 31
- 2θ = 74.1°, 1.280 Å, I 3
- 2θ = 82.0°, 1.175 Å, I 9
- 2θ = 86.6°, 1.124 Å, I 3

---

Record 10
# Sm4Cd3Fe2
Computed powder X-ray diffraction pattern, Cu Ka. Input: a DFT-relaxed cell (PBE, OQMD).
Intensities are scaled so that the largest is 100.

Structural model:
```
data_Sm4Cd3Fe2
_cell_length_a 7.4895
_cell_length_b 3.7784
_cell_length_c 8.1716
_cell_angle_alpha 90.00
_cell_angle_beta 108.99
_cell_angle_gamma 90.00
_symmetry_space_group_name_H-M 'P 1'
_symmetry_Int_Tables_number 1
loop_
_symmetry_equiv_pos_as_xyz
'x,y,z'
loop_
_atom_site_label
_atom_site_type_symbol
_atom_site_fract_x
_atom_site_fract_y
_atom_site_fract_z
_atom_site_occupancy
Sm1 Sm 0.0895 0.0000 0.2209 1
Sm2 Sm 0.3894 0.0000 0.6957 1
Sm3 Sm 0.6106 0.0000 0.3043 1
Sm4 Sm 0.9105 0.0000 0.7791 1
Cd1 Cd 0.0000 0.5000 0.5000 1
Cd2 Cd 0.2964 0.5000 0.0088 1
Cd3 Cd 0.7036 0.5000 0.9912 1
Fe1 Fe 0.3601 0.5000 0.4048 1
Fe2 Fe 0.6399 0.5000 0.5952 1
```

Main lines, by angle (10 to 90 degrees two-theta):
- 2θ = 30.8°, 2.903 Å, I 16
- 2θ = 31.0°, 2.883 Å, I 42
- 2θ = 33.2°, 2.701 Å, I 100
- 2θ = 33.9°, 2.647 Å, I 97
- 2θ = 35.8°, 2.507 Å, I 36
- 2θ = 48.2°, 1.889 Å, I 24
- 2θ = 57.4°, 1.605 Å, I 22
- 2θ = 58.4°, 1.580 Å, I 14
- 2θ = 61.5°, 1.509 Å, I 14
- 2θ = 62.2°, 1.492 Å, I 16

---

Record 11
# CdFe2Tc
Computed powder X-ray diffraction pattern, Cu Ka. Input: a DFT-relaxed cell (PBE, OQMD).
Intensities are scaled so that the largest is 100.

Structural model:
```
data_CdFe2Tc
_cell_length_a 6.1279
_cell_length_b 6.1279
_cell_length_c 6.1279
_cell_angle_alpha 90.00
_cell_angle_beta 90.00
_cell_angle_gamma 90.00
_symmetry_space_group_name_H-M 'P 1'
_symmetry_Int_Tables_number 1
loop_
_symmetry_equiv_pos_as_xyz
'x,y,z'
loop_
_atom_site_label
_atom_site_type_symbol
_atom_site_fract_x
_atom_site_fract_y
_atom_site_fract_z
_atom_site_occupancy
Cd1 Cd 0.0000 0.0000 0.0000 1
Cd2 Cd 0.0000 0.5000 0.5000 1
Cd3 Cd 0.5000 0.0000 0.5000 1
Cd4 Cd 0.5000 0.5000 0.0000 1
Fe1 Fe 0.0000 0.0000 0.5000 1
Fe2 Fe 0.0000 0.5000 0.0000 1
Fe3 Fe 0.2500 0.2500 0.2500 1
Fe4 Fe 0.2500 0.7500 0.7500 1
Fe5 Fe 0.5000 0.0000 0.0000 1
Fe6 Fe 0.5000 0.5000 0.5000 1
Fe7 Fe 0.7500 0.2500 0.7500 1
Fe8 Fe 0.7500 0.7500 0.2500 1
Tc1 Tc 0.2500 0.2500 0.7500 1
Tc2 Tc 0.2500 0.7500 0.2500 1
Tc3 Tc 0.7500 0.2500 0.2500 1
Tc4 Tc 0.7500 0.7500 0.7500 1
```

Main lines, by angle (10 to 90 degrees two-theta):
- 2θ = 25.2°, 3.538 Å, I 11
- 2θ = 41.7°, 2.167 Å, I 100
- 2θ = 49.3°, 1.848 Å, I 5
- 2θ = 60.4°, 1.532 Å, I 16
- 2θ = 66.5°, 1.406 Å, I 2
- 2θ = 76.1°, 1.251 Å, I 31
- 2θ = 81.6°, 1.179 Å, I 2

---

Record 12
# Gd2Cd3Ga3
Computed powder X-ray diffraction pattern, Cu Ka. Input: a DFT-relaxed cell (PBE, OQMD).
Intensities are scaled so that the largest is 100.

Structural model:
```
data_Gd2Cd3Ga3
_cell_length_a 6.2561
_cell_length_b 4.7796
_cell_length_c 6.5900
_cell_angle_alpha 90.00
_cell_angle_beta 117.06
_cell_angle_gamma 90.00
_symmetry_space_group_name_H-M 'P 1'
_symmetry_Int_Tables_number 1
loop_
_symmetry_equiv_pos_as_xyz
'x,y,z'
loop_
_atom_site_label
_atom_site_type_symbol
_atom_site_fract_x
_atom_site_fract_y
_atom_site_fract_z
_atom_site_occupancy
Gd1 Gd 0.0000 0.0000 0.0000 1
Gd2 Gd 0.3457 0.5000 0.7172 1
Cd1 Cd 0.4987 0.0000 0.4986 1
Cd2 Cd 0.8307 0.5000 0.2069 1
Cd3 Cd 0.9879 0.0000 0.5029 1
Ga1 Ga 0.3459 0.5000 0.2055 1
Ga2 Ga 0.5131 0.0000 0.0370 1
Ga3 Ga 0.8201 0.5000 0.6690 1
```

Main lines, by angle (10 to 90 degrees two-theta):
- 2θ = 24.7°, 3.599 Å, I 17
- 2θ = 32.1°, 2.786 Å, I 22
- 2θ = 32.7°, 2.735 Å, I 29
- 2θ = 35.9°, 2.501 Å, I 100
- 2θ = 37.4°, 2.407 Å, I 74
- 2θ = 37.6°, 2.390 Å, I 51
- 2θ = 37.9°, 2.374 Å, I 59
- 2θ = 50.7°, 1.800 Å, I 17
- 2θ = 66.8°, 1.400 Å, I 16
- 2θ = 68.4°, 1.372 Å, I 15

---

Record 13
# Gd3Mg3CdGa2
Computed powder X-ray diffraction pattern, Cu Ka. Input: a DFT-relaxed cell (PBE, OQMD).
Intensities are scaled so that the largest is 100.

Structural model:
```
data_Gd3Mg3CdGa2
_cell_length_a 7.4078
_cell_length_b 7.4078
_cell_length_c 4.5008
_cell_angle_alpha 90.00
_cell_angle_beta 90.00
_cell_angle_gamma 120.00
_symmetry_space_group_name_H-M 'P 1'
_symmetry_Int_Tables_number 1
loop_
_symmetry_equiv_pos_as_xyz
'x,y,z'
loop_
_atom_site_label
_atom_site_type_symbol
_atom_site_fract_x
_atom_site_fract_y
_atom_site_fract_z
_atom_site_occupancy
Gd1 Gd 0.0000 0.4297 0.0000 1
Gd2 Gd 0.4297 0.0000 0.0000 1
Gd3 Gd 0.5703 0.5703 0.0000 1
Mg1 Mg 0.0000 0.7508 0.5000 1
Mg2 Mg 0.2492 0.2492 0.5000 1
Mg3 Mg 0.7508 0.0000 0.5000 1
Cd1 Cd 0.0000 0.0000 0.0000 1
Ga1 Ga 0.3333 0.6667 0.5000 1
Ga2 Ga 0.6667 0.3333 0.5000 1
```

Main lines, by angle (10 to 90 degrees two-theta):
- 2θ = 19.7°, 4.501 Å, I 26
- 2θ = 24.0°, 3.704 Å, I 17
- 2θ = 27.8°, 3.208 Å, I 36
- 2θ = 31.3°, 2.860 Å, I 51
- 2θ = 34.3°, 2.612 Å, I 100
- 2θ = 37.1°, 2.425 Å, I 18
- 2θ = 40.1°, 2.250 Å, I 22
- 2θ = 42.3°, 2.136 Å, I 26
- 2θ = 55.5°, 1.655 Å, I 22
- 2θ = 66.9°, 1.399 Å, I 17